The following is a simulated XRD peak list of UPa2PtN5. It was derived from a structure optimized by DFT (GGA-PBE), using Cu Kα (λ = 1.5418 Å).
Neutral-atom scattering factors, no anomalous dispersion.

Main lines, in order of rising 2θ (10 to 80 degrees two-theta):
28.4°, intensity 86.2
31.6°, intensity 57.2
32.0°, intensity 50.7
33.3°, intensity 100.0
33.5°, intensity 22.2
37.3°, intensity 82.9
48.0°, intensity 31.7
54.3°, intensity 22.6
58.1°, intensity 22.0
62.4°, intensity 27.5

Atomic structure:
Unit cell a=6.8896 b=6.8896 c=10.6870 alpha=90.00 beta=90.00 gamma=151.61
Fractional positions:
U1 0.1851 0.8149 0.5000
U2 0.8149 0.1851 0.0000
Pa1 0.1206 0.8794 0.1892
Pa2 0.1315 0.8685 0.8013
Pa3 0.8685 0.1315 0.3013
Pa4 0.8794 0.1206 0.6892
Pt1 0.4991 0.5009 0.9809
Pt2 0.5009 0.4991 0.4809
N1 0.0382 0.9618 0.5967
N2 0.2920 0.7080 0.1536
N3 0.2999 0.7001 0.8384
N4 0.3382 0.6618 0.4954
N5 0.4951 0.5049 0.2826
N6 0.5049 0.4951 0.7826
N7 0.6618 0.3382 0.9954
N8 0.7001 0.2999 0.3384
N9 0.7080 0.2920 0.6536
N10 0.9618 0.0382 0.0967